[1]
Calculated X-ray diffraction stick pattern
Compound: B3PC
Radiation: Cu Kα, 1.54184 Å
Structure: a structure optimized by DFT (PBE)
No peak broadening, texture or thermal motion is included.

Largest 12 diffraction maxima, by intensity, 2θ = 5–70°:
hkl  2θ (°)  I (rel.)
0 1 1  37.59  100
1 0 1  35.27  57
0 0 2  30.36  51
1 0 0  29.68  41
1 0 -2  39.84  40
1 1 0  45.94  32
0 0 1  15.04  30
1 1 -3  63.82  28
0 1 0  34.25  24
1 1 2  58.52  18
1 1 -1  47.21  15
0 1 3  58.79  14

Crystal structure
```
data_B3PC
_space_group_name_H-M_alt 'P 1'
_space_group_IT_number 1
_cell_length_a 3.0378
_cell_length_b 2.6184
_cell_length_c 5.9432
_cell_angle_alpha 90.00
_cell_angle_beta 97.75
_cell_angle_gamma 90.00
loop_
_space_group_symop_operation_xyz
'x,y,z'
loop_
_atom_site_label
_atom_site_fract_x
_atom_site_fract_y
_atom_site_fract_z
_atom_site_occupancy
B1 0.0000 0.0000 0.0000 1
B2 0.0437 0.5000 0.2212 1
B3 0.4966 0.5000 0.7384 1
P1 0.5924 0.5000 0.4140 1
C1 0.4365 0.0000 0.8580 1
```

***

[2]
Calculated X-ray diffraction stick pattern
Compound: BPC3
Radiation: Cu Kα, 1.54184 Å
Structure: a structure optimized by DFT (PBE)
No peak broadening, texture or thermal motion is included.

Largest 12 diffraction maxima, by intensity, 2θ = 5–70°:
hkl  2θ (°)  I (rel.)
2 0 0  15.16  100
0 0 1  19.47  28
2 0 1  25.65  23
2 0 -1  23.86  20
1 1 1  41.77  19
4 0 0  30.60  14
1 1 0  36.26  13
6 0 0  46.63  12
0 0 2  39.53  10
5 1 -1  56.18  6
4 0 -1  35.25  6
3 1 0  42.55  6

Crystal structure
```
data_BPC3
_space_group_name_H-M_alt 'P 1'
_space_group_IT_number 1
_cell_length_a 11.7176
_cell_length_b 2.5349
_cell_length_c 4.5721
_cell_angle_alpha 90.00
_cell_angle_beta 94.20
_cell_angle_gamma 90.00
loop_
_space_group_symop_operation_xyz
'x,y,z'
loop_
_atom_site_label
_atom_site_fract_x
_atom_site_fract_y
_atom_site_fract_z
_atom_site_occupancy
B1 0.0000 0.0000 0.0000 1
B2 0.5000 0.5000 0.0000 1
P1 0.1684 0.5000 0.1392 1
P2 0.6684 0.0000 0.1392 1
C1 0.0101 0.5000 0.1885 1
C2 0.4932 0.5000 0.6597 1
C3 0.4960 0.0000 0.5074 1
C4 0.5101 0.0000 0.1885 1
C5 0.9932 0.0000 0.6597 1
C6 0.9960 0.5000 0.5074 1
```

***

[3]
Calculated X-ray diffraction stick pattern
Compound: BP2C3
Radiation: Cu Kα, 1.54184 Å
Structure: a structure optimized by DFT (PBE)
No peak broadening, texture or thermal motion is included.

Largest 12 diffraction maxima, by intensity, 2θ = 5–70°:
hkl  2θ (°)  I (rel.)
1 1 -1  34.94  100
3 1 -1  42.62  87
2 0 1  38.20  57
2 0 0  22.68  51
2 0 -2  36.89  47
1 1 0  31.73  23
0 2 0  61.35  21
1 1 2  58.98  20
5 1 0  67.26  20
0 0 1  20.95  17
3 1 0  45.91  16
4 0 -2  44.83  16

Crystal structure
```
data_BP2C3
_space_group_name_H-M_alt 'P 1'
_space_group_IT_number 1
_cell_length_a 9.0220
_cell_length_b 3.0220
_cell_length_c 4.8795
_cell_angle_alpha 90.00
_cell_angle_beta 119.65
_cell_angle_gamma 90.00
loop_
_space_group_symop_operation_xyz
'x,y,z'
loop_
_atom_site_label
_atom_site_fract_x
_atom_site_fract_y
_atom_site_fract_z
_atom_site_occupancy
B1 0.0000 0.0000 0.0000 1
B2 0.5000 0.5000 0.0000 1
P1 0.1405 0.5000 0.9960 1
P2 0.2011 0.0000 0.6647 1
P3 0.6405 0.0000 0.9960 1
P4 0.7011 0.5000 0.6647 1
C1 0.3304 0.5000 0.6430 1
C2 0.3468 0.5000 0.3539 1
C3 0.4896 0.5000 0.3165 1
C4 0.8304 0.0000 0.6430 1
C5 0.8468 0.0000 0.3539 1
C6 0.9896 0.0000 0.3165 1
```